No. 1
Structure and theoretical powder XRD pattern of Li9Mn2Co5O16 (a structure optimized by DFT (GGA+U); a wavelength of 1.5418 Å).
Intensities are scaled so that the largest is 100.

Crystal structure
abc: 10.160 11.688 5.161
angles: 90.00 109.83 90.00
Space group C2/m (No. 12)
Asymmetric unit:
Li: 0.000 0.000 0.000
Li: 0.000 0.122 0.500
Li: 0.000 0.377 0.500
Li: 0.246 0.000 0.491
Li: 0.250 0.250 0.500
Mn: 0.000 0.249 0.000
Co: 0.000 0.500 0.000
Co: 0.245 0.121 0.003
O: 0.117 0.372 0.222
O: 0.121 0.136 0.231
O: 0.123 0.253 0.780
O: 0.129 0.500 0.762
O: 0.141 0.000 0.767

Most intense lines, 2θ = 10–80°, in order of rising 2θ:
18.28 deg, I = 100; 35.82 deg, I = 15; 36.03 deg, I = 26; 43.19 deg, I = 28; 43.65 deg, I = 55; 47.43 deg, I = 9; 57.49 deg, I = 10; 62.67 deg, I = 16; 63.50 deg, I = 15; 66.89 deg, I = 9


No. 2
Structure and theoretical powder XRD pattern of Li9Mn2Co5O16 (a structure optimized by DFT (GGA+U); a wavelength of 1.5418 Å).
Intensities are scaled so that the largest is 100.

Crystal structure
abc: 2.908 9.906 10.302
angles: 80.50 88.85 88.79
Space group P-1 (No. 2)
Asymmetric unit:
Li: 0.000 0.000 0.000
Li: 0.003 0.245 0.634
Li: 0.014 0.756 0.875
Li: 0.486 0.239 0.370
Li: 0.493 0.229 0.889
Mn: 0.000 0.000 0.500
Mn: 0.500 0.500 0.500
Co: 0.009 0.501 0.247
Co: 0.499 0.994 0.771
Co: 0.500 0.500 0.000
O: 0.004 0.892 0.676
O: 0.008 0.881 0.196
O: 0.009 0.390 0.445
O: 0.019 0.614 0.063
O: 0.480 0.391 0.675
O: 0.487 0.384 0.191
O: 0.492 0.111 0.554
O: 0.496 0.121 0.075

Most intense lines, 2θ = 10–80°, in order of rising 2θ:
18.16 deg, I = 100; 35.34 deg, I = 14; 35.61 deg, I = 14; 36.44 deg, I = 12; 42.75 deg, I = 27; 42.93 deg, I = 28; 44.14 deg, I = 26; 47.20 deg, I = 9; 56.52 deg, I = 7; 64.06 deg, I = 7


No. 3
Structure and theoretical powder XRD pattern of Li9Mn2Co5O16 (a structure optimized by DFT (GGA+U); a wavelength of 1.5418 Å).
Intensities are scaled so that the largest is 100.

Crystal structure
abc: 10.297 2.892 10.331
angles: 90.00 110.06 90.00
Space group P2/m (No. 10)
Asymmetric unit:
Li: 0.000 0.000 0.000
Li: 0.003 0.500 0.772
Li: 0.247 0.000 0.248
Li: 0.250 0.000 0.761
Li: 0.496 0.500 0.239
Mn: 0.000 0.000 0.500
Mn: 0.500 0.000 0.500
Co: 0.235 0.500 0.008
Co: 0.250 0.500 0.506
Co: 0.500 0.000 0.000
O: 0.105 0.500 0.614
O: 0.131 0.000 0.399
O: 0.136 0.000 0.882
O: 0.139 0.500 0.125
O: 0.358 0.000 0.618
O: 0.381 0.000 0.105
O: 0.386 0.500 0.387
O: 0.392 0.500 0.893

Most intense lines, 2θ = 10–80°, in order of rising 2θ:
18.28 deg, I = 100; 35.34 deg, I = 15; 36.19 deg, I = 24; 42.80 deg, I = 26; 43.80 deg, I = 52; 47.58 deg, I = 9; 57.62 deg, I = 10; 62.84 deg, I = 20; 62.99 deg, I = 13; 64.45 deg, I = 7


No. 4
Structure and theoretical powder XRD pattern of Li7Co5O12 (a structure optimized by DFT (GGA+U); a wavelength of 1.5418 Å).
Intensities are scaled so that the largest is 100.

Crystal structure
abc: 12.411 2.996 11.932
angles: 90.00 104.92 90.00
Space group C2/m (No. 12)
Asymmetric unit:
Li: 0.000 0.000 0.000
Li: 0.002 0.000 0.250
Li: 0.166 0.500 0.920
Li: 0.167 0.500 0.414
Co: 0.000 0.000 0.500
Co: 0.160 0.500 0.158
Co: 0.169 0.500 0.668
O: 0.007 0.500 0.624
O: 0.017 0.500 0.131
O: 0.160 0.000 0.544
O: 0.167 0.000 0.051
O: 0.174 0.000 0.288
O: 0.179 0.000 0.791

Most intense lines, 2θ = 10–80°, in order of rising 2θ:
14.78 deg, I = 9; 18.40 deg, I = 100; 35.44 deg, I = 31; 37.18 deg, I = 11; 42.78 deg, I = 60; 45.37 deg, I = 24; 56.56 deg, I = 9; 61.93 deg, I = 9; 63.67 deg, I = 14; 64.57 deg, I = 13


No. 5
Structure and theoretical powder XRD pattern of SrLaTiMnO6 (a structure optimized by DFT (GGA+U); a wavelength of 1.5418 Å).
Intensities are scaled so that the largest is 100.

Crystal structure
abc: 5.686 5.647 9.509
angles: 90.00 126.03 90.00
Space group Pc (No. 7)
Asymmetric unit:
Sr: 0.000 0.243 0.000
La: 0.513 0.263 0.501
Ti: 0.752 0.248 0.249
Mn: 0.255 0.249 0.751
O: 0.085 0.246 0.505
O: 0.436 0.257 0.996
O: 0.534 0.023 0.290
O: 0.549 0.496 0.288
O: 0.939 0.008 0.712
O: 0.958 0.490 0.214

Most intense lines, 2θ = 10–80°, in order of rising 2θ:
22.19 deg, I = 21; 31.47 deg, I = 47; 31.69 deg, I = 50; 32.13 deg, I = 100; 32.41 deg, I = 95; 39.62 deg, I = 40; 45.27 deg, I = 69; 47.28 deg, I = 29; 56.27 deg, I = 22; 56.77 deg, I = 40


No. 6
Structure and theoretical powder XRD pattern of V3CoO8 (a structure optimized by DFT (GGA+U); a wavelength of 1.5418 Å).
Intensities are scaled so that the largest is 100.

Crystal structure
abc: 8.336 8.342 8.346
angles: 90.00 90.32 90.00
Space group P2_1 (No. 4)
Asymmetric unit:
V: 0.102 0.000 0.383
V: 0.126 0.472 0.893
V: 0.127 0.742 0.144
V: 0.377 0.993 0.644
V: 0.379 0.246 0.376
V: 0.390 0.732 0.881
Co: 0.007 0.857 0.751
Co: 0.498 0.869 0.254
O: 0.100 0.496 0.641
O: 0.103 0.980 0.141
O: 0.112 0.268 0.882
O: 0.115 0.503 0.107
O: 0.138 0.724 0.893
O: 0.139 0.763 0.349
O: 0.141 0.217 0.366
O: 0.144 0.975 0.600
O: 0.349 0.507 0.861
O: 0.364 0.006 0.387
O: 0.366 0.752 0.097
O: 0.366 0.969 0.849
O: 0.384 0.754 0.644
O: 0.386 0.209 0.616
O: 0.400 0.459 0.384
O: 0.405 0.228 0.139

Most intense lines, 2θ = 10–80°, in order of rising 2θ:
15.02 deg, I = 36; 18.42 deg, I = 71; 21.31 deg, I = 48; 23.84 deg, I = 37; 26.16 deg, I = 28; 35.67 deg, I = 100; 35.76 deg, I = 47; 43.39 deg, I = 53; 57.35 deg, I = 28; 63.04 deg, I = 46